The following is a theoretical powder X-ray diffraction pattern of Zn2SnSb3. It was derived from a GGA-PBE-relaxed structure, using a wavelength of 1.5418 Å.
Intensities are scaled so that the largest is 100.

Top 12 peaks for 10 to 90 degrees two-theta, low angle first:
| d [Å] | intensity |
| --- | --- |
| 3.636 | 100 |
| 3.618 | 34 |
| 2.227 | 66 |
| 2.217 | 34 |
| 1.900 | 26 |
| 1.895 | 31 |
| 1.574 | 10 |
| 1.445 | 6 |
| 1.440 | 6 |
| 1.288 | 7 |
| 1.283 | 10 |
| 1.281 | 6 |

Crystal structure
a = 7.7140 Å, b = 7.7140 Å, c = 7.6677 Å
α = 99.54°, β = 99.54°, γ = 119.91°
Atoms (fractional coordinates):
Zn: 0.0815 0.9185 0.5000
Zn: 0.2342 0.7368 0.9976
Zn: 0.7368 0.2342 0.4976
Zn: 0.9185 0.0815 0.0000
Sn: 0.3996 0.5730 0.4902
Sn: 0.5730 0.3996 0.9902
Sb: 0.0107 0.1802 0.3661
Sb: 0.1802 0.0107 0.8661
Sb: 0.3618 0.8837 0.3645
Sb: 0.5397 0.7252 0.8861
Sb: 0.7252 0.5397 0.3861
Sb: 0.8837 0.3618 0.8645